# VCl2O
Simulated PXRD pattern, Cu Kα X-rays. Input: a structure optimized by DFT (GGA+U).

Cell: 13.6188 3.7361 6.9996 Å, 90.00 104.90 90.00°
Fractional coordinates of all 16 atoms:
1 V 0.0000 0.0587 0.2500
2 V 0.0000 0.9413 0.7500
3 V 0.5000 0.4413 0.7500
4 V 0.5000 0.5587 0.2500
5 Cl 0.1257 0.0001 0.0628
6 Cl 0.1257 0.9999 0.5628
7 Cl 0.3743 0.5001 0.4372
8 Cl 0.3743 0.4999 0.9372
9 Cl 0.6257 0.5001 0.0628
10 Cl 0.6257 0.4999 0.5628
11 Cl 0.8743 0.0001 0.4372
12 Cl 0.8743 0.9999 0.9372
13 O 0.0000 0.4891 0.7500
14 O 0.0000 0.5109 0.2500
15 O 0.5000 0.0109 0.2500
16 O 0.5000 0.9891 0.7500

Most intense lines, 2θ = 15–90°, by intensity:
d (Å)  intensity  hkl
3.594  100  1 1 0
2.736  100  2 0 2
2.018  56  3 1 2
2.104  41  4 0 2
1.750  16  2 0 -4
1.868  16  0 2 0
1.573  15  3 1 -4
1.397  14  4 2 2
1.645  12  8 0 0
1.543  11  4 2 -2